# Ti3InO
Calculated powder X-ray diffraction pattern, Cu Kα X-rays. Input: a cell relaxed with GGA-PBE.
Lines closer than 0.1° are merged.

Structure:
Cell lengths 9.271, 9.271, 4.263 Å; angles 103.22, 103.22, 25.24 degrees
Fractional positions:
Ti1 0.063 0.063 0.313
Ti2 0.190 0.190 0.941
Ti3 0.303 0.303 0.552
Ti4 0.697 0.697 0.448
Ti5 0.810 0.810 0.059
Ti6 0.937 0.937 0.687
In1 0.434 0.434 0.183
In2 0.566 0.566 0.817
O1 0.183 0.183 0.433
O2 0.817 0.817 0.567

Peak list (10 most intense, 2θ = 10–90°, by angle)
25.84°, rel. 13; 32.14°, rel. 13; 36.80°, rel. 100; 41.05°, rel. 22; 42.40°, rel. 25; 44.74°, rel. 18; 60.49°, rel. 13; 62.33°, rel. 12; 63.35°, rel. 12; 73.89°, rel. 12